# 1
The following is a simulated X-ray powder pattern of SrTl3Hg2. It was derived from a cell relaxed with GGA-PBE, using Cu Kα X-rays.
Lines closer than 0.1° are merged.

Structure:
Lattice parameters (Å, degrees): 6.4641 6.4641 9.3710 90.68 90.68 114.69
Element x y z (fractional)
Sr 0.1208 0.8792 0.7500
Sr 0.8792 0.1208 0.2500
Tl 0.1519 0.3920 0.9176
Tl 0.3636 0.6364 0.2500
Tl 0.3920 0.1519 0.4176
Tl 0.6080 0.8481 0.5824
Tl 0.6364 0.3636 0.7500
Tl 0.8481 0.6080 0.0824
Hg 0.1038 0.3649 0.5833
Hg 0.3649 0.1038 0.0833
Hg 0.6351 0.8962 0.9167
Hg 0.8962 0.6351 0.4167

Most intense lines, 5 to 70 degrees two-theta, in order of rising 2θ:
- d = 2.817 Å, 2θ 31.77, intensity 66
- d = 2.787 Å, 2θ 32.12, intensity 25
- d = 2.768 Å, 2θ 32.34, intensity 32
- d = 2.721 Å, 2θ 32.91, intensity 50
- d = 2.709 Å, 2θ 33.07, intensity 100
- d = 1.568 Å, 2θ 58.91, intensity 30


# 2
The following is a simulated X-ray powder pattern of SrTmHg4. It was derived from a cell relaxed with GGA-PBE, using Cu Kα X-rays.
Lines closer than 0.1° are merged.

Structure:
Lattice parameters (Å, degrees): 5.6549 5.6549 8.2558 109.16 109.16 40.56
Element x y z (fractional)
Sr 0.0000 0.0000 0.0000
Tm 0.0000 0.0000 0.5000
Hg 0.3314 0.3314 0.6486
Hg 0.3350 0.3350 0.1938
Hg 0.6650 0.6650 0.8062
Hg 0.6686 0.6686 0.3514

Most intense lines, 5 to 70 degrees two-theta, in order of rising 2θ:
- d = 2.842 Å, 2θ 31.48, intensity 87
- d = 2.637 Å, 2θ 34.00, intensity 35
- d = 2.531 Å, 2θ 35.47, intensity 100
- d = 2.062 Å, 2θ 43.91, intensity 15
- d = 1.960 Å, 2θ 46.32, intensity 16
- d = 1.573 Å, 2θ 58.69, intensity 15


# 3
The following is a simulated X-ray powder pattern of Sr2HgW. It was derived from a cell relaxed with GGA-PBE, using Cu Kα X-rays.
Lines closer than 0.1° are merged.

Structure:
Lattice parameters (Å, degrees): 6.8378 6.8378 6.8378 151.19 131.40 57.49
Element x y z (fractional)
Sr 0.0000 0.0000 0.0000
Sr 0.6971 0.1971 0.5000
Hg 0.2583 0.7583 0.5000
W 0.4439 0.4439 0.0000

Most intense lines, 5 to 70 degrees two-theta, in order of rising 2θ:
- d = 5.095 Å, 2θ 17.41, intensity 44
- d = 2.998 Å, 2θ 29.80, intensity 22
- d = 2.814 Å, 2θ 31.80, intensity 35
- d = 2.619 Å, 2θ 34.24, intensity 100
- d = 2.591 Å, 2θ 34.62, intensity 19
- d = 1.584 Å, 2θ 58.23, intensity 22